# 1
Structure and theoretical powder X-ray diffraction pattern of Zr3Zn3C (a crystal structure in Alexandria, relaxed with PBE; Cu Kα, 1.54184 Å).

Peak list (10 most intense, 10 to 90 degrees two-theta, in order of rising 2θ)
2θ = 31.8°, rel. 14.1, (3 3 1)
2θ = 35.8°, rel. 37.7, (4 2 2)
2θ = 38.1°, rel. 100.0, (3 3 3)
2θ = 41.6°, rel. 25.4, (4 4 0)
2θ = 44.3°, rel. 9.0, (4 4 2)
2θ = 49.2°, rel. 5.6, (6 2 2)
2θ = 61.9°, rel. 6.8, (7 3 3)
2θ = 64.4°, rel. 37.3, (6 6 0)
2θ = 65.9°, rel. 8.4, (5 5 5)
2θ = 77.4°, rel. 18.4, (9 3 3)

Atomic structure:
Lattice parameters (Å, degrees): 12.2735 12.2735 12.2735 90.00 90.00 90.00
Space group Fd-3m (No. 227, origin choice 2)
Symmetry-distinct sites (fractional):
Zr 0.0646 0.3750 0.3750 (multiplicity 48)
Zn 0.0000 0.0000 0.5000 (multiplicity 16)
Zn 0.0443 0.0443 0.7057 (multiplicity 32)
C 0.0000 0.0000 0.0000 (multiplicity 16)

# 2
Structure and theoretical powder X-ray diffraction pattern of Zr4Zn2C (a crystal structure in Alexandria, relaxed with PBE; Cu Kα, 1.54184 Å).

Peak list (10 most intense, 10 to 90 degrees two-theta, in order of rising 2θ)
2θ = 30.9°, rel. 17.2, (3 3 1)
2θ = 34.9°, rel. 37.2, (4 2 2)
2θ = 37.0°, rel. 100.0, (3 3 3)
2θ = 40.5°, rel. 26.4, (4 4 0)
2θ = 43.0°, rel. 6.3, (4 4 2)
2θ = 50.1°, rel. 4.8, (4 4 4)
2θ = 62.5°, rel. 34.9, (6 6 0)
2θ = 63.9°, rel. 9.9, (5 5 5)
2θ = 74.9°, rel. 18.6, (9 3 3)
2θ = 78.9°, rel. 5.1, (10 2 2)

Atomic structure:
Lattice parameters (Å, degrees): 12.6092 12.6092 12.6092 90.00 90.00 90.00
Space group Fd-3m (No. 227, origin choice 2)
Symmetry-distinct sites (fractional):
Zr 0.0000 0.0000 0.0000 (multiplicity 16)
Zr 0.0581 0.3750 0.8750 (multiplicity 48)
Zn 0.0379 0.0379 0.2121 (multiplicity 32)
C 0.0000 0.0000 0.5000 (multiplicity 16)

# 3
Structure and theoretical powder X-ray diffraction pattern of Zr4C3 (a crystal structure in Alexandria, relaxed with PBE; Cu Kα, 1.54184 Å).

Peak list (6 most intense, 10 to 90 degrees two-theta, in order of rising 2θ)
2θ = 33.0°, rel. 100.0, (1 1 1)
2θ = 38.2°, rel. 69.7, (2 0 0)
2θ = 55.2°, rel. 45.5, (2 2 0)
2θ = 65.8°, rel. 40.2, (3 1 1)
2θ = 69.1°, rel. 14.9, (2 2 2)
2θ = 81.9°, rel. 6.9, (4 0 0)

Atomic structure:
```
data_Zr4C3
_chemical_formula_sum 'Zr4 C3'
_cell_length_a 4.7071
_cell_length_b 4.7071
_cell_length_c 4.7071
_cell_angle_alpha 90.00
_cell_angle_beta 90.00
_cell_angle_gamma 90.00
_space_group_name_H-M_alt 'P m -3 m'
_space_group_IT_number 221
_space_group_name_Hall '-P 4 2 3'
loop_
_atom_site_label
_atom_site_fract_x
_atom_site_fract_y
_atom_site_fract_z
Zr1 0.0000 0.0000 0.0000
Zr2 0.0000 0.5000 0.5000
C1 0.0000 0.0000 0.5000
```

# 4
Structure and theoretical powder X-ray diffraction pattern of Zr3C5 (a crystal structure in Alexandria, relaxed with PBE; Cu Kα, 1.54184 Å).

Peak list (10 most intense, 10 to 90 degrees two-theta, in order of rising 2θ)
2θ = 27.4°, rel. 43.2, (0 0 3)
2θ = 28.9°, rel. 18.9, (1 0 1)
2θ = 33.1°, rel. 100.0, (1 0 2)
2θ = 39.1°, rel. 54.3, (1 1 0)
2θ = 48.5°, rel. 27.1, (1 1 3)
2θ = 54.9°, rel. 39.9, (1 0 5)
2θ = 56.5°, rel. 17.3, (2 0 0)
2θ = 64.0°, rel. 17.5, (2 0 3)
2θ = 67.1°, rel. 27.2, (2 1 2)
2θ = 82.7°, rel. 16.1, (2 1 5)

Atomic structure:
```
data_Zr3C5
_chemical_formula_sum 'Zr3 C5'
_cell_length_a 3.2554
_cell_length_b 3.2554
_cell_length_c 9.7530
_cell_angle_alpha 90.00
_cell_angle_beta 90.00
_cell_angle_gamma 90.00
_space_group_name_H-M_alt 'P 4/m m m'
_space_group_IT_number 123
_space_group_name_Hall '-P 4 2'
loop_
_atom_site_label
_atom_site_fract_x
_atom_site_fract_y
_atom_site_fract_z
Zr1 0.0000 0.0000 0.0000
Zr2 0.5000 0.5000 0.2888
C1 0.0000 0.0000 0.3626
C2 0.0000 0.0000 0.5000
C3 0.5000 0.5000 0.0728
```